# 1
Starting from DFT lattice parameters and positions (PBE), the powder diffractogram of Tb3Ga2Cu9 was simulated for Cu Kα (weighted mean of Kα1 and Kα2).
Lines closer than 0.1° are merged.

Cell: 4.229 8.681 12.471 Å, 90.00 90.00 90.00°
Space group Immm (No. 71)
Unique sites:
Tb 0.000 0.000 0.000 (multiplicity 2)
Tb 0.000 0.000 0.293 (multiplicity 4)
Ga 0.000 0.191 0.500 (multiplicity 4)
Cu 0.000 0.286 0.132 (multiplicity 8)
Cu 0.000 0.357 0.336 (multiplicity 8)
Cu 0.000 0.500 0.000 (multiplicity 2)

Main lines, low angle first (2θ = 5–70°):
2θ 30.1, I 23; 2θ 35.5, I 33; 2θ 36.7, I 100; 2θ 37.3, I 38; 2θ 37.7, I 46; 2θ 37.9, I 30; 2θ 40.4, I 31; 2θ 42.1, I 17; 2θ 42.8, I 51; 2θ 43.5, I 17; 2θ 56.7, I 17; 2θ 58.4, I 17

=====

# 2
Starting from DFT lattice parameters and positions (PBE), the powder diffractogram of Dy2YHg6 was simulated for Cu Kα (weighted mean of Kα1 and Kα2).
Lines closer than 0.1° are merged.

Cell: 14.384 11.704 5.430 Å, 90.00 100.01 90.00°
Space group C2/c (No. 15)
Unique sites:
Dy 0.167 0.125 0.084 (multiplicity 8)
Y 0.000 0.375 0.250 (multiplicity 4)
Hg 0.055 0.125 0.529 (multiplicity 8)
Hg 0.112 0.374 0.804 (multiplicity 8)
Hg 0.222 0.375 0.362 (multiplicity 8)

Main lines, low angle first (2θ = 5–70°):
2θ 30.6, I 78; 2θ 33.9, I 59; 2θ 34.0, I 59; 2θ 36.2, I 100; 2θ 40.5, I 73; 2θ 51.6, I 19; 2θ 51.6, I 19; 2θ 58.0, I 26; 2θ 59.0, I 12; 2θ 59.2, I 12; 2θ 61.6, I 22; 2θ 63.6, I 20

=====

# 3
Starting from DFT lattice parameters and positions (PBE), the powder diffractogram of Ca4N2F was simulated for Cu Kα (weighted mean of Kα1 and Kα2).
Lines closer than 0.1° are merged.

Cell: 3.629 12.286 12.481 Å, 90.00 90.00 90.00°
Space group Cmcm (No. 63)
Unique sites:
Ca 0.000 0.000 0.000 (multiplicity 4)
Ca 0.000 0.254 0.101 (multiplicity 8)
Ca 0.000 0.437 0.750 (multiplicity 4)
N 0.000 0.366 0.561 (multiplicity 8)
F 0.000 0.046 0.750 (multiplicity 4)

Main lines, low angle first (2θ = 5–70°):
2θ 16.1, I 19; 2θ 29.1, I 30; 2θ 29.4, I 23; 2θ 32.2, I 100; 2θ 33.0, I 18; 2θ 33.6, I 49; 2θ 33.8, I 85; 2θ 36.1, I 22; 2θ 49.9, I 50; 2θ 50.3, I 23; 2θ 61.0, I 26; 2θ 62.3, I 25